Record 1
Diffraction record for Np2Ga9Ni3. The PXRD pattern is computed, not measured: it uses a cell relaxed with PBE and Cu Kα.

Peak list (10 most intense, 2θ from 10° to 80°, sorted by position)
| Position (°2θ) | d [Å] | I_rel |
| --- | --- | --- |
| 25.65 | 3.473 | 26 |
| 36.91 | 2.435 | 10 |
| 37.32 | 2.410 | 100 |
| 38.03 | 2.366 | 15 |
| 41.91 | 2.155 | 60 |
| 57.35 | 1.607 | 17 |
| 57.87 | 1.593 | 13 |
| 64.09 | 1.453 | 8 |
| 73.50 | 1.288 | 20 |
| 73.58 | 1.287 | 10 |

Cell and atoms:
a b c (Å): 12.944 7.460 10.403
angles (deg): 90.00 114.52 90.00
Space group C2/c (No. 15)
Symmetry-distinct sites (fractional):
Np (0.168, 0.084, 0.251)
Ga (0.000, 0.370, 0.250)
Ga (0.059, 0.081, 0.929)
Ga (0.106, 0.310, 0.749)
Ga (0.106, 0.415, 0.063)
Ga (0.226, 0.416, 0.427)
Ni (0.083, 0.249, 0.500)
Ni (0.250, 0.250, 0.000)

---

Record 2
Diffraction record for Np4Ga16Ni3. The PXRD pattern is computed, not measured: it uses a cell relaxed with PBE and Cu Kα.

Peak list (10 most intense, 2θ from 10° to 80°, sorted by position)
| Position (°2θ) | d [Å] | I_rel |
| --- | --- | --- |
| 20.65 | 4.300 | 37 |
| 31.98 | 2.799 | 38 |
| 33.64 | 2.664 | 54 |
| 38.38 | 2.346 | 100 |
| 40.80 | 2.211 | 25 |
| 42.02 | 2.150 | 66 |
| 53.76 | 1.705 | 16 |
| 60.01 | 1.542 | 30 |
| 60.93 | 1.520 | 21 |
| 74.35 | 1.276 | 26 |

Cell and atoms:
a b c (Å): 6.082 6.082 11.057
angles (deg): 90.00 90.00 90.00
Space group P4/mmm (No. 123)
Symmetry-distinct sites (fractional):
Np (0.000, 0.500, 0.192)
Ga (0.000, 0.000, 0.200)
Ga (0.219, 0.219, 0.000)
Ga (0.247, 0.247, 0.380)
Ga (0.500, 0.500, 0.222)
Ni (0.000, 0.500, 0.500)
Ni (0.500, 0.500, 0.000)